1.
Computed X-ray powder pattern
Compound: DyH9C8O8
Radiation: Cu Kα, 1.54184 Å
Structure: DFT lattice parameters and positions (GGA-PBE)
Kinematic intensities with the Lorentz-polarization factor, no thermal factor.

Cell and atoms:
a = 6.009 Å, b = 8.164 Å, c = 9.540 Å
α = 91.75°, β = 100.82°, γ = 100.47°
Fractional coordinates of all 52 atoms:
Dy (0.040, 0.312, 0.114)
Dy (0.960, 0.688, 0.886)
H (0.117, 0.308, 0.629)
H (0.167, 0.030, 0.537)
H (0.212, 0.652, 0.603)
H (0.232, 0.488, 0.419)
H (0.261, 0.756, 0.469)
H (0.335, 0.326, 0.403)
H (0.337, 0.984, 0.890)
H (0.445, 0.813, 0.899)
H (0.469, 0.070, 0.365)
H (0.531, 0.930, 0.635)
H (0.555, 0.187, 0.101)
H (0.663, 0.016, 0.110)
H (0.665, 0.674, 0.597)
H (0.739, 0.244, 0.531)
H (0.768, 0.512, 0.581)
H (0.788, 0.348, 0.397)
H (0.833, 0.970, 0.463)
H (0.883, 0.692, 0.371)
C (0.113, 0.929, 0.175)
C (0.276, 0.262, 0.665)
C (0.303, 0.107, 0.616)
C (0.315, 0.850, 0.231)
C (0.339, 0.688, 0.182)
C (0.403, 0.529, 0.809)
C (0.451, 0.366, 0.763)
C (0.494, 0.947, 0.331)
C (0.506, 0.053, 0.669)
C (0.549, 0.634, 0.237)
C (0.597, 0.471, 0.191)
C (0.661, 0.312, 0.818)
C (0.685, 0.150, 0.769)
C (0.697, 0.893, 0.384)
C (0.724, 0.738, 0.335)
C (0.887, 0.071, 0.825)
O (0.057, 0.148, 0.918)
O (0.122, 0.077, 0.225)
O (0.176, 0.594, 0.086)
O (0.195, 0.552, 0.773)
O (0.203, 0.377, 0.365)
O (0.298, 0.663, 0.524)
O (0.319, 0.871, 0.919)
O (0.436, 0.355, 0.124)
O (0.564, 0.645, 0.876)
O (0.681, 0.129, 0.081)
O (0.702, 0.337, 0.476)
O (0.797, 0.623, 0.635)
O (0.805, 0.448, 0.227)
O (0.824, 0.406, 0.914)
O (0.878, 0.923, 0.775)
O (0.943, 0.852, 0.082)

Peak list (10 most intense, 10 to 80 degrees two-theta, low angle first)
| 2θ/deg | d (Å) | I (rel.) |
| --- | --- | --- |
| 11.05 | 8.010 | 454 |
| 15.04 | 5.891 | 595 |
| 15.29 | 5.793 | 701 |
| 16.34 | 5.425 | 1000 |
| 18.42 | 4.816 | 364 |
| 21.36 | 4.160 | 388 |
| 22.66 | 3.925 | 410 |
| 23.57 | 3.774 | 521 |
| 30.06 | 2.972 | 340 |
| 30.46 | 2.935 | 409 |

=====

2.
Computed X-ray powder pattern
Compound: La6P17Pd6
Radiation: Cu Kα, 1.54184 Å
Structure: DFT lattice parameters and positions (GGA-PBE)
Kinematic intensities with the Lorentz-polarization factor, no thermal factor.

Cell and atoms:
a = 9.062 Å, b = 9.062 Å, c = 9.062 Å
α = 109.47°, β = 109.47°, γ = 109.47°
Fractional coordinates of all 29 atoms:
La (0.000, 0.286, 0.286)
La (0.000, 0.714, 0.714)
La (0.286, 0.000, 0.286)
La (0.286, 0.286, 0.000)
La (0.714, 0.000, 0.714)
La (0.714, 0.714, 0.000)
P (0.000, 0.000, 0.000)
P (0.000, 0.000, 0.567)
P (0.000, 0.362, 0.782)
P (0.000, 0.567, 0.000)
P (0.000, 0.782, 0.362)
P (0.218, 0.218, 0.580)
P (0.218, 0.580, 0.218)
P (0.362, 0.000, 0.782)
P (0.362, 0.782, 0.000)
P (0.420, 0.638, 0.638)
P (0.433, 0.433, 0.433)
P (0.567, 0.000, 0.000)
P (0.580, 0.218, 0.218)
P (0.638, 0.420, 0.638)
P (0.638, 0.638, 0.420)
P (0.782, 0.000, 0.362)
P (0.782, 0.362, 0.000)
Pd (0.250, 0.500, 0.750)
Pd (0.250, 0.750, 0.500)
Pd (0.500, 0.250, 0.750)
Pd (0.500, 0.750, 0.250)
Pd (0.750, 0.250, 0.500)
Pd (0.750, 0.500, 0.250)

Peak list (10 most intense, 10 to 80 degrees two-theta, low angle first)
| 2θ/deg | d (Å) | I (rel.) |
| --- | --- | --- |
| 16.95 | 5.232 | 137 |
| 24.06 | 3.699 | 178 |
| 26.95 | 3.309 | 126 |
| 29.57 | 3.021 | 1000 |
| 34.28 | 2.616 | 780 |
| 36.43 | 2.466 | 284 |
| 38.48 | 2.340 | 130 |
| 42.32 | 2.136 | 199 |
| 49.26 | 1.850 | 402 |
| 58.51 | 1.577 | 427 |

=====

3.
Computed X-ray powder pattern
Compound: GdHoAl4Fe2
Radiation: Cu Kα, 1.54184 Å
Structure: DFT lattice parameters and positions (GGA-PBE)
Kinematic intensities with the Lorentz-polarization factor, no thermal factor.

Cell and atoms:
a = 7.047 Å, b = 4.050 Å, c = 10.126 Å
α = 90.00°, β = 90.00°, γ = 90.00°
Fractional coordinates of all 16 atoms:
Gd (0.000, 0.000, 0.000)
Gd (0.000, 0.500, 0.500)
Ho (0.500, 0.000, 0.124)
Ho (0.500, 0.500, 0.624)
Al (0.195, 0.000, 0.718)
Al (0.195, 0.500, 0.218)
Al (0.308, 0.000, 0.405)
Al (0.308, 0.500, 0.905)
Al (0.692, 0.000, 0.405)
Al (0.692, 0.500, 0.905)
Al (0.805, 0.000, 0.718)
Al (0.805, 0.500, 0.218)
Fe (0.000, 0.000, 0.275)
Fe (0.000, 0.500, 0.775)
Fe (0.500, 0.000, 0.848)
Fe (0.500, 0.500, 0.348)

Peak list (10 most intense, 10 to 80 degrees two-theta, low angle first)
| 2θ/deg | d (Å) | I (rel.) |
| --- | --- | --- |
| 21.61 | 4.112 | 221 |
| 23.66 | 3.760 | 677 |
| 25.28 | 3.524 | 536 |
| 34.90 | 2.571 | 1000 |
| 36.94 | 2.433 | 973 |
| 37.76 | 2.382 | 577 |
| 44.76 | 2.025 | 272 |
| 52.11 | 1.755 | 256 |
| 52.57 | 1.741 | 306 |
| 59.96 | 1.543 | 293 |

=====

4.
Computed X-ray powder pattern
Compound: Cu5Ag4
Radiation: Cu Kα, 1.54184 Å
Structure: DFT lattice parameters and positions (GGA-PBE)
Kinematic intensities with the Lorentz-polarization factor, no thermal factor.

Cell and atoms:
a = 6.162 Å, b = 6.162 Å, c = 6.162 Å
α = 144.07°, β = 95.61°, γ = 95.31°
Fractional coordinates of all 9 atoms:
Cu (0.000, 0.000, 0.000)
Cu (0.314, 0.652, 0.662)
Cu (0.321, 0.994, 0.327)
Cu (0.668, 0.994, 0.673)
Cu (0.990, 0.652, 0.338)
Ag (0.001, 0.331, 0.670)
Ag (0.317, 0.317, 0.000)
Ag (0.650, 0.650, 0.000)
Ag (0.661, 0.331, 0.330)

Peak list (10 most intense, 10 to 80 degrees two-theta, low angle first)
| 2θ/deg | d (Å) | I (rel.) |
| --- | --- | --- |
| 21.42 | 4.149 | 16 |
| 25.78 | 3.456 | 51 |
| 33.77 | 2.654 | 14 |
| 34.23 | 2.619 | 25 |
| 40.35 | 2.235 | 1000 |
| 46.48 | 1.954 | 323 |
| 47.85 | 1.901 | 151 |
| 67.72 | 1.384 | 47 |
| 67.95 | 1.380 | 48 |
| 68.92 | 1.362 | 184 |

=====

5.
Computed X-ray powder pattern
Compound: TbNbN2O
Radiation: Cu Kα, 1.54184 Å
Structure: DFT lattice parameters and positions (GGA-PBE)
Kinematic intensities with the Lorentz-polarization factor, no thermal factor.

Cell and atoms:
a = 3.651 Å, b = 6.228 Å, c = 5.784 Å
α = 90.00°, β = 90.00°, γ = 90.00°
Fractional coordinates of all 10 atoms:
Tb (0.000, 0.152, 0.000)
Tb (0.000, 0.848, 0.500)
Nb (0.500, 0.324, 0.543)
Nb (0.500, 0.676, 0.043)
N (0.000, 0.211, 0.602)
N (0.000, 0.789, 0.102)
N (0.500, 0.400, 0.899)
N (0.500, 0.600, 0.399)
O (0.500, 0.096, 0.277)
O (0.500, 0.904, 0.777)

Peak list (10 most intense, 10 to 80 degrees two-theta, low angle first)
| 2θ/deg | d (Å) | I (rel.) |
| --- | --- | --- |
| 28.33 | 3.150 | 334 |
| 30.92 | 2.892 | 410 |
| 32.36 | 2.766 | 1000 |
| 32.66 | 2.742 | 548 |
| 42.43 | 2.130 | 259 |
| 49.96 | 1.826 | 162 |
| 50.58 | 1.805 | 238 |
| 55.92 | 1.644 | 220 |
| 60.47 | 1.531 | 257 |
| 60.97 | 1.520 | 187 |

=====

6.
Computed X-ray powder pattern
Compound: La2GdSn4Pb3
Radiation: Cu Kα, 1.54184 Å
Structure: DFT lattice parameters and positions (GGA-PBE)
Kinematic intensities with the Lorentz-polarization factor, no thermal factor.

Cell and atoms:
a = 13.394 Å, b = 13.394 Å, c = 4.786 Å
α = 90.00°, β = 90.00°, γ = 160.27°
Fractional coordinates of all 10 atoms:
La (0.186, 0.814, 0.000)
La (0.814, 0.186, 0.000)
Gd (0.000, 0.000, 0.000)
Sn (0.288, 0.712, 0.500)
Sn (0.407, 0.593, 0.000)
Sn (0.593, 0.407, 0.000)
Sn (0.712, 0.288, 0.500)
Pb (0.096, 0.904, 0.500)
Pb (0.500, 0.500, 0.500)
Pb (0.904, 0.096, 0.500)

Peak list (10 most intense, 10 to 80 degrees two-theta, low angle first)
| 2θ/deg | d (Å) | I (rel.) |
| --- | --- | --- |
| 31.90 | 2.806 | 1000 |
| 33.97 | 2.639 | 173 |
| 37.58 | 2.393 | 173 |
| 39.27 | 2.294 | 154 |
| 51.55 | 1.773 | 108 |
| 52.88 | 1.732 | 101 |
| 55.48 | 1.656 | 114 |
| 64.28 | 1.449 | 138 |
| 66.57 | 1.405 | 161 |
| 66.67 | 1.403 | 105 |

=====

Q: Number 4 is which compound?
A: Cu5Ag4